Starting from a crystal structure in Alexandria, relaxed with PBE, the XRD peak list of Ac2HoTl2 was calculated for copper Kα.
Peak positions follow from Bragg's law for the DFT cell and can differ from measured ones.

Crystal structure
abc: 8.396 8.396 9.999
angles: 90.00 90.00 90.00
Positions (direct):
Ac 0.170 0.330 0.000
Ac 0.170 0.330 0.500
Ac 0.330 0.830 0.000
Ac 0.330 0.830 0.500
Ac 0.670 0.170 0.000
Ac 0.670 0.170 0.500
Ac 0.830 0.670 0.000
Ac 0.830 0.670 0.500
Ho 0.000 0.000 0.250
Ho 0.000 0.000 0.750
Ho 0.500 0.500 0.250
Ho 0.500 0.500 0.750
Tl 0.132 0.632 0.250
Tl 0.132 0.632 0.750
Tl 0.368 0.132 0.250
Tl 0.368 0.132 0.750
Tl 0.632 0.868 0.250
Tl 0.632 0.868 0.750
Tl 0.868 0.368 0.250
Tl 0.868 0.368 0.750

Most intense lines, 15 to 90 degrees two-theta, by intensity:
| (hkl) | 2theta | I_rel |
| --- | --- | --- |
| 2 1 2 | 29.8 | 100 |
| 3 1 0 | 33.8 | 33 |
| 3 1 4 | 50.1 | 22 |
| 2 0 2 | 27.8 | 21 |
| 0 0 4 | 35.9 | 20 |
| 2 1 6 | 60.8 | 14 |
| 5 2 2 | 62.4 | 13 |
| 4 1 2 | 48.3 | 11 |
| 5 1 2 | 59.1 | 7 |
| 5 2 6 | 85.2 | 6 |

Starting from a crystal structure in Alexandria, relaxed with PBE, the XRD peak list of Na2PaC2N6 was calculated for copper Kα.
Peak positions follow from Bragg's law for the DFT cell and can differ from measured ones.

Crystal structure
abc: 5.591 5.591 5.814
angles: 90.00 90.00 120.00
Positions (direct):
Na 0.333 0.667 0.320
Na 0.667 0.333 0.680
Pa 0.000 0.000 0.000
C 0.333 0.667 0.789
C 0.667 0.333 0.211
N 0.195 0.390 0.788
N 0.195 0.805 0.788
N 0.390 0.195 0.212
N 0.610 0.805 0.788
N 0.805 0.195 0.212
N 0.805 0.610 0.212

Most intense lines, 15 to 90 degrees two-theta, by intensity:
| (hkl) | 2theta | I_rel |
| --- | --- | --- |
| 1 0 1 | 23.9 | 100 |
| 1 0 0 | 18.3 | 58 |
| 0 0 1 | 15.2 | 47 |
| 1 0 2 | 36.0 | 44 |
| 1 1 0 | 32.0 | 34 |
| 1 1 1 | 35.6 | 28 |
| 2 0 1 | 40.4 | 27 |
| 1 2 1 | 52.4 | 27 |
| 0 2 2 | 49.0 | 21 |
| 2 1 2 | 59.7 | 16 |